This entry pairs a crystal structure of MgGa2 with its calculated powder X-ray diffraction pattern. Radiation: Cu Kα X-rays. Structure: a cell relaxed with PBE.
Peak positions follow from Bragg's law for the DFT cell and can differ from measured ones.

Structure:
Lattice parameters (Å, degrees): 5.2382 5.2382 14.6317 90.00 90.00 120.00
Space group R32 (No. 155, hexagonal axes)
Unique sites:
Mg 0.0000 0.0000 0.1671 (multiplicity 6)
Ga 0.0000 0.0000 0.5000 (multiplicity 3)
Ga 0.0000 0.6654 0.0000 (multiplicity 9)

Peak list (10 most intense, 5° ≤ 2θ ≤ 70°, in order of falling intensity)
| d [Å] | I_rel | (hkl) |
| --- | --- | --- |
| 2.307 | 100 | 1 1 3 |
| 2.619 | 29 | 1 1 0 |
| 2.439 | 25 | 0 0 6 |
| 1.381 | 18 | 1 1 9 |
| 1.785 | 18 | 1 1 6 |
| 1.512 | 17 | 3 0 0 |
| 4.877 | 11 | 0 0 3 |
| 4.333 | 7 | 1 0 1 |
| 3.855 | 5 | 0 1 2 |
| 1.444 | 2 | 3 0 3 |


This entry pairs a crystal structure of MgGa with its calculated powder X-ray diffraction pattern. Radiation: Cu Kα X-rays. Structure: a cell relaxed with PBE.
Peak positions follow from Bragg's law for the DFT cell and can differ from measured ones.

Structure:
Lattice parameters (Å, degrees): 3.0719 3.0719 15.3204 90.00 90.00 120.00
Space group P-6m2 (No. 187)
Unique sites:
Mg 0.0000 0.0000 0.0000 (multiplicity 1)
Mg 0.6667 0.3333 0.1736 (multiplicity 2)
Ga 0.0000 0.0000 0.3325 (multiplicity 2)
Ga 0.6667 0.3333 0.5000 (multiplicity 1)

Peak list (10 most intense, 5° ≤ 2θ ≤ 70°, in order of falling intensity)
| d [Å] | I_rel | (hkl) |
| --- | --- | --- |
| 15.320 | 100 | 0 0 1 |
| 2.359 | 62 | 1 0 3 |
| 2.553 | 17 | 0 0 6 |
| 2.660 | 15 | 1 0 0 |
| 1.434 | 12 | 1 0 9 |
| 1.536 | 10 | 1 1 0 |
| 1.842 | 10 | 1 0 6 |
| 2.513 | 7 | 1 0 2 |
| 2.186 | 7 | 0 0 7 |
| 2.621 | 3 | 1 0 1 |


This entry pairs a crystal structure of MgGa3 with its calculated powder X-ray diffraction pattern. Radiation: Cu Kα X-rays. Structure: a cell relaxed with PBE.
Peak positions follow from Bragg's law for the DFT cell and can differ from measured ones.

Structure:
Lattice parameters (Å, degrees): 3.2123 3.2123 8.8641 90.00 90.00 120.00
Space group P-6m2 (No. 187)
Unique sites:
Mg 0.0000 0.0000 0.0000 (multiplicity 1)
Ga 0.0000 0.0000 0.5000 (multiplicity 1)
Ga 0.6667 0.3333 0.2569 (multiplicity 2)

Peak list (10 most intense, 5° ≤ 2θ ≤ 70°, in order of falling intensity)
| d [Å] | I_rel | (hkl) |
| --- | --- | --- |
| 2.356 | 100 | 1 0 2 |
| 2.782 | 29 | 1 0 0 |
| 8.864 | 24 | 0 0 1 |
| 1.606 | 19 | 1 1 0 |
| 2.216 | 18 | 0 0 4 |
| 1.733 | 14 | 1 0 4 |
| 2.654 | 6 | 1 0 1 |
| 2.025 | 5 | 1 0 3 |
| 4.432 | 4 | 0 0 2 |
| 1.391 | 3 | 2 0 0 |